# 1
Computed powder XRD pattern of ScGa40Mo8 for Cu Kα (λ = 1.5418 Å), from a DFT-relaxed cell (PBE, Alexandria).
Intensities are scaled so that the largest is 100.

Principal peaks in the range 2θ = 10–90°, low angle first:
index  2θ/deg  intensity
2 -1 3  21.5  40.2
3 0 0  21.8  30.5
2 2 3  30.8  51.9
2 3 2  34.1  33.4
5 -4 3  38.1  55.9
2 4 1  39.5  41.1
4 -1 5  39.7  55.2
3 2 4  39.9  72.3
5 1 1  41.6  34.0
0 3 6  41.8  64.1
4 -2 6  43.9  100.0
6 0 0  44.5  72.8

Atomic structure:
a = 14.1030 Å, b = 14.1030 Å, c = 15.2731 Å
α = 90.00°, β = 90.00°, γ = 120.00°
Space group R-3 (No. 148, hexagonal axes)
Inequivalent atoms, fractional coordinates:
Sc  0.0000  0.0000  0.0000 x3
Ga  0.0000  0.0000  0.5000 x3
Ga  0.0000  0.5000  0.0000 x9
Ga  0.0053  0.8189  0.7779 x18
Ga  0.0116  0.1254  0.6557 x18
Ga  0.0132  0.3171  0.7659 x18
Ga  0.0133  0.8478  0.1198 x18
Ga  0.0360  0.4937  0.6624 x18
Ga  0.0881  0.5584  0.1738 x18
Mo  0.0000  0.0000  0.2083 x6
Mo  0.0143  0.3062  0.5957 x18

***

# 2
Computed powder XRD pattern of Ce5Te2C2 for Cu Kα (λ = 1.5418 Å), from a DFT-relaxed cell (PBE, Alexandria).
Intensities are scaled so that the largest is 100.

Principal peaks in the range 2θ = 10–90°, low angle first:
index  2θ/deg  intensity
5 1 0  26.8  67.7
0 0 2  27.4  20.7
2 0 2  29.1  32.7
4 2 0  29.8  100.0
3 1 2  33.1  37.2
4 0 2  33.8  65.9
6 1 1  34.4  37.9
0 2 2  35.6  66.6
3 3 0  37.0  56.4
8 0 0  39.4  25.1
5 3 2  51.0  24.1
4 2 4  65.1  19.0

Atomic structure:
a = 18.296 Å, b = 7.935 Å, c = 6.521 Å
α = 90.00°, β = 90.00°, γ = 90.00°
Space group Ima2 (No. 46)
Inequivalent atoms, fractional coordinates:
Ce  0.022  0.249  0.000 x8
Ce  0.137  0.556  0.250 x8
Ce  0.250  0.152  0.314 x4
Te  0.107  0.551  0.750 x8
C  0.000  0.000  0.746 x4
C  0.250  0.075  0.667 x4

***

# 3
Computed powder XRD pattern of Ba3Cu2O4F2 for Cu Kα (λ = 1.5418 Å), from a DFT-relaxed cell (PBE, Alexandria).
Intensities are scaled so that the largest is 100.

Principal peaks in the range 2θ = 10–90°, low angle first:
index  2θ/deg  intensity
1 0 1  22.6  23.1
1 0 5  29.9  100.0
1 1 0  31.7  78.6
1 0 7  35.9  61.7
1 1 6  40.0  37.0
2 0 0  45.5  46.4
0 0 12  48.6  13.4
2 1 5  55.4  35.1
1 1 12  59.2  45.9
2 2 0  66.3  13.4
2 0 12  68.7  18.4
3 1 0  75.3  13.8

Atomic structure:
a = 3.989 Å, b = 3.989 Å, c = 22.486 Å
α = 90.00°, β = 90.00°, γ = 90.00°
Space group I4/mmm (No. 139)
Inequivalent atoms, fractional coordinates:
Ba  0.000  0.000  0.000 x2
Ba  0.000  0.000  0.170 x4
Cu  0.000  0.000  0.415 x4
O  0.000  0.500  0.087 x8
F  0.000  0.000  0.293 x4

***

# 4
Computed powder XRD pattern of Bi12Pb4O21 for Cu Kα (λ = 1.5418 Å), from a DFT-relaxed cell (PBE, Alexandria).
Intensities are scaled so that the largest is 100.

Principal peaks in the range 2θ = 10–90°, low angle first:
index  2θ/deg  intensity
1 1 -2  24.3  13.4
0 2 -2  27.8  58.8
1 1 2  28.0  44.8
2 -2 0  28.4  66.3
-1 1 4  28.5  100.0
1 -1 4  29.7  58.9
0 2 2  30.6  19.4
-1 3 2  38.9  18.6
1 1 -6  41.6  18.9
3 -1 2  41.7  18.7
1 -3 6  51.5  15.6
3 -3 4  51.8  17.6

Atomic structure:
a = 7.271 Å, b = 7.590 Å, c = 14.259 Å
α = 93.02°, β = 96.95°, γ = 115.91°
Space group P-1 (No. 2)
Inequivalent atoms, fractional coordinates:
Bi  0.008  0.295  0.071 x2
Bi  0.014  0.244  0.543 x2
Bi  0.147  0.923  0.190 x2
Bi  0.241  0.487  0.325 x2
Bi  0.278  0.512  0.800 x2
Bi  0.436  0.232  0.976 x2
Pb  0.250  0.990  0.702 x2
Pb  0.479  0.210  0.445 x2
O  0.030  0.150  0.194 x2
O  0.045  0.681  0.624 x2
O  0.047  0.151  0.690 x2
O  0.066  0.559  0.204 x2
O  0.158  0.276  0.892 x2
O  0.202  0.980  0.033 x2
O  0.209  0.048  0.530 x2
O  0.279  0.741  0.420 x2
O  0.307  0.750  0.902 x2
O  0.423  0.426  0.089 x2
O  0.500  0.500  0.500 x1

***

# 5
Computed powder XRD pattern of Ti3HgH for Cu Kα (λ = 1.5418 Å), from a DFT-relaxed cell (PBE, Alexandria).
Intensities are scaled so that the largest is 100.

Principal peaks in the range 2θ = 10–90°, low angle first:
index  2θ/deg  intensity
1 0 0  15.2  95.7
1 1 -2  25.0  54.8
0 1 2  28.5  55.9
2 1 -2  30.2  32.1
0 2 0  34.7  34.1
2 0 -4  36.5  38.2
1 2 -1  36.9  26.4
3 0 -2  37.2  44.9
1 1 2  38.6  100.0
2 1 -4  40.6  48.5
3 1 -2  41.2  29.5
1 2 -3  44.8  24.0

Atomic structure:
a = 7.321 Å, b = 5.174 Å, c = 9.886 Å
α = 90.00°, β = 127.18°, γ = 90.00°
Space group P2_1/c (No. 14)
Inequivalent atoms, fractional coordinates:
Ti  0.039  0.150  0.343 x4
Ti  0.209  0.642  0.514 x4
Ti  0.279  0.188  0.737 x4
Hg  0.456  0.698  0.885 x4
H  0.078  0.167  0.022 x4

***

# 6
Computed powder XRD pattern of Yb5Ni19P12 for Cu Kα (λ = 1.5418 Å), from a DFT-relaxed cell (PBE, Alexandria).
Intensities are scaled so that the largest is 100.

Principal peaks in the range 2θ = 10–90°, low angle first:
index  2θ/deg  intensity
3 1 0  26.1  24.9
7 1 -2  36.0  22.7
7 1 1  36.3  51.2
8 0 2  36.4  26.5
9 1 -1  37.5  39.2
3 1 -3  38.3  20.7
1 1 -3  38.5  100.0
9 1 -2  39.7  50.4
9 1 1  41.2  37.8
7 1 2  41.9  22.3
4 0 4  45.7  32.8
0 2 0  49.5  63.8

Atomic structure:
a = 28.651 Å, b = 3.681 Å, c = 9.170 Å
α = 90.00°, β = 103.98°, γ = 90.00°
Space group C2/m (No. 12)
Inequivalent atoms, fractional coordinates:
Yb  0.000  0.000  0.000 x2
Yb  0.079  0.000  0.685 x4
Yb  0.176  0.500  0.268 x4
Ni  0.000  0.500  0.500 x2
Ni  0.026  0.000  0.338 x4
Ni  0.067  0.500  0.204 x4
Ni  0.088  0.500  0.952 x4
Ni  0.116  0.000  0.387 x4
Ni  0.151  0.500  0.592 x4
Ni  0.157  0.000  0.987 x4
Ni  0.206  0.000  0.772 x4
Ni  0.220  0.500  0.004 x4
Ni  0.242  0.500  0.593 x4
P  0.015  0.500  0.772 x4
P  0.075  0.500  0.451 x4
P  0.101  0.000  0.124 x4
P  0.150  0.500  0.835 x4
P  0.194  0.000  0.518 x4
P  0.233  0.000  0.158 x4

***

# 7
Computed powder XRD pattern of Pm2Te4Au for Cu Kα (λ = 1.5418 Å), from a DFT-relaxed cell (PBE, Alexandria).
Intensities are scaled so that the largest is 100.

Principal peaks in the range 2θ = 10–90°, low angle first:
index  2θ/deg  intensity
1 0 2  26.7  43.5
2 0 -2  26.9  46.7
0 2 0  28.4  55.9
1 1 2  30.3  59.5
2 1 -2  30.5  66.1
1 2 0  30.8  100.0
0 0 3  31.5  37.1
0 2 2  35.5  67.1
2 2 0  37.2  60.6
2 1 2  38.7  47.9
3 1 -2  39.0  44.7
1 0 -4  40.7  65.3

Atomic structure:
a = 7.836 Å, b = 6.296 Å, c = 8.867 Å
α = 90.00°, β = 105.91°, γ = 90.00°
Space group P2_1/m (No. 11)
Inequivalent atoms, fractional coordinates:
Pm  0.215  0.250  0.428 x2
Pm  0.262  0.250  0.941 x2
Te  0.070  0.750  0.358 x2
Te  0.081  0.750  0.924 x2
Te  0.482  0.506  0.253 x4
Au  0.204  0.750  0.670 x2

***

# 8
Computed powder XRD pattern of Pr4S3N for Cu Kα (λ = 1.5418 Å), from a DFT-relaxed cell (PBE, Alexandria).
Intensities are scaled so that the largest is 100.

Principal peaks in the range 2θ = 10–90°, low angle first:
index  2θ/deg  intensity
1 0 0  15.6  0.5
1 1 1  27.2  84.5
2 0 0  31.5  100.0
2 2 0  45.1  72.1
3 1 1  53.5  41.5
2 2 2  56.1  24.9
4 0 0  65.8  11.5
3 3 1  72.5  16.8
4 2 0  74.7  31.6
4 2 2  83.3  24.0
5 1 1  89.7  13.4

Atomic structure:
a = 5.681 Å, b = 5.681 Å, c = 5.681 Å
α = 90.00°, β = 90.00°, γ = 90.00°
Space group Pm-3m (No. 221)
Inequivalent atoms, fractional coordinates:
Pr  0.000  0.000  0.000 x1
Pr  0.000  0.500  0.500 x3
S  0.000  0.000  0.500 x3
N  0.500  0.500  0.500 x1

***

# 9
Computed powder XRD pattern of Pu3ThC8 for Cu Kα (λ = 1.5418 Å), from a DFT-relaxed cell (PBE, Alexandria).
Intensities are scaled so that the largest is 100.

Principal peaks in the range 2θ = 10–90°, low angle first:
index  2θ/deg  intensity
2 2 0  25.8  62.3
2 0 2  29.9  100.0
4 0 0  36.9  32.8
0 0 4  48.0  7.2
4 2 2  48.1  58.9
4 4 0  53.1  11.0
2 2 4  55.3  19.5
2 6 0  59.9  7.2
4 0 4  62.1  19.3
4 6 2  74.4  15.3
6 4 2  74.5  7.9
4 2 6  89.7  10.9

Atomic structure:
a = 9.739 Å, b = 9.762 Å, c = 7.580 Å
α = 90.00°, β = 90.00°, γ = 90.00°
Space group Fmm2 (No. 42)
Inequivalent atoms, fractional coordinates:
Pu  0.000  0.000  0.000 x4
Pu  0.250  0.250  0.249 x8
Th  0.000  0.000  0.500 x4
C  0.000  0.168  0.248 x8
C  0.000  0.228  0.861 x8
C  0.168  0.000  0.754 x8
C  0.228  0.000  0.140 x8

***

# 10
Computed powder XRD pattern of CeGaAu3 for Cu Kα (λ = 1.5418 Å), from a DFT-relaxed cell (PBE, Alexandria).
Intensities are scaled so that the largest is 100.

Principal peaks in the range 2θ = 10–90°, low angle first:
index  2θ/deg  intensity
2 0 2  27.5  11.0
1 1 3  35.8  87.2
3 1 1  36.1  100.0
0 2 0  36.5  58.6
2 0 4  43.9  10.9
3 1 3  45.8  30.6
4 0 4  56.7  14.1
1 3 3  65.3  15.3
3 3 1  65.4  17.8
4 2 4  69.4  14.0
3 1 7  82.0  11.2
7 1 3  82.8  13.5

Atomic structure:
a = 9.125 Å, b = 4.920 Å, c = 9.237 Å
α = 90.00°, β = 90.00°, γ = 90.00°
Space group Pnma (No. 62)
Inequivalent atoms, fractional coordinates:
Ce  0.239  0.250  0.003 x4
Ga  0.102  0.250  0.664 x4
Au  0.081  0.250  0.382 x4
Au  0.103  0.750  0.853 x4
Au  0.110  0.750  0.164 x4